No. 1
Pa2Fe3B12W: simulated X-ray diffraction stick pattern (λ = 1.5418 Å (Cu Kα)), based on DFT lattice parameters and positions (GGA-PBE).

Largest 12 diffraction maxima, by angle, 5 to 70 degrees two-theta:
2θ 11.5, I 83
2θ 23.1, I 34
2θ 24.4, I 19
2θ 27.1, I 25
2θ 33.1, I 53
2θ 35.1, I 100
2θ 36.5, I 18
2θ 40.7, I 27
2θ 47.4, I 21
2θ 50.1, I 17
2θ 60.4, I 22
2θ 69.3, I 25

Structure:
```
data_Pa2Fe3B12W
_space_group_name_H-M_alt 'R -3 m'
_space_group_IT_number 166
_space_group_name_Hall '-R 3 2"'
_cell_length_a 5.4172
_cell_length_b 5.4172
_cell_length_c 23.1452
_cell_angle_alpha 90.00
_cell_angle_beta 90.00
_cell_angle_gamma 120.00
loop_
_atom_site_label
_atom_site_fract_x
_atom_site_fract_y
_atom_site_fract_z
Pa1 0.0000 0.0000 0.1433
Fe1 0.0000 0.5000 0.0000
B1 0.0815 0.5408 0.0888
B2 0.1075 0.2151 0.7364
W1 0.0000 0.0000 0.5000
```



No. 2
HoEr7Th2: simulated X-ray diffraction stick pattern (λ = 1.5418 Å (Cu Kα)), based on DFT lattice parameters and positions (GGA-PBE).

Largest 12 diffraction maxima, by angle, 5 to 70 degrees two-theta:
2θ 31.0, I 100
2θ 31.1, I 99
2θ 36.0, I 67
2θ 36.2, I 33
2θ 51.5, I 12
2θ 51.9, I 24
2θ 52.0, I 36
2θ 61.5, I 29
2θ 61.7, I 14
2θ 61.8, I 35
2θ 62.0, I 7
2θ 64.6, I 12

Structure:
```
data_HoEr7Th2
_space_group_name_H-M_alt 'C 1 2/m 1'
_space_group_IT_number 12
_cell_length_a 18.297
_cell_length_b 3.546
_cell_length_c 9.935
_cell_angle_alpha 90.00
_cell_angle_beta 105.93
_cell_angle_gamma 90.00
loop_
_space_group_symop_operation_xyz
'x,y,z'
'-x,-y,-z'
'-x,y,-z'
'x,-y,z'
'x+1/2,y+1/2,z'
'-x+1/2,-y+1/2,-z'
'-x+1/2,y+1/2,-z'
'x+1/2,-y+1/2,z'
loop_
_atom_site_label
_atom_site_fract_x
_atom_site_fract_y
_atom_site_fract_z
Ho1 0.000 0.000 0.000
Er1 0.000 0.000 0.500
Er2 0.100 0.500 0.301
Er3 0.102 0.500 0.803
Er4 0.201 0.000 0.604
Th1 0.200 0.000 0.100
```



No. 3
RbCdIn2Br8: simulated X-ray diffraction stick pattern (λ = 1.5418 Å (Cu Kα)), based on DFT lattice parameters and positions (GGA-PBE).

Largest 12 diffraction maxima, by angle, 5 to 70 degrees two-theta:
2θ 16.9, I 100
2θ 21.4, I 39
2θ 23.3, I 26
2θ 26.3, I 47
2θ 27.3, I 30
2θ 33.7, I 78
2θ 34.1, I 39
2θ 41.7, I 47
2θ 43.5, I 23
2θ 44.2, I 21
2θ 47.7, I 27
2θ 52.2, I 21

Structure:
```
data_RbCdIn2Br8
_space_group_name_H-M_alt 'I -4 m 2'
_space_group_IT_number 119
_space_group_name_Hall 'I -4 -2'
_cell_length_a 10.517
_cell_length_b 10.517
_cell_length_c 8.891
_cell_angle_alpha 90.00
_cell_angle_beta 90.00
_cell_angle_gamma 90.00
loop_
_atom_site_label
_atom_site_fract_x
_atom_site_fract_y
_atom_site_fract_z
Rb1 0.000 0.000 0.000
Cd1 0.000 0.500 0.750
In1 0.000 0.000 0.500
In2 0.000 0.500 0.250
Br1 0.000 0.200 0.671
Br2 0.000 0.320 0.060
```



No. 4
Ce2H5Rh2: simulated X-ray diffraction stick pattern (λ = 1.5418 Å (Cu Kα)), based on DFT lattice parameters and positions (GGA-PBE).

Largest 12 diffraction maxima, by angle, 5 to 70 degrees two-theta:
2θ 24.3, I 2
2θ 34.2, I 100
2θ 34.5, I 25
2θ 34.7, I 23
2θ 39.4, I 1
2θ 48.6, I 9
2θ 49.8, I 17
2θ 60.9, I 5
2θ 61.0, I 9
2θ 61.1, I 4
2θ 61.6, I 18
2θ 61.9, I 16

Structure:
```
data_Ce2H5Rh2
_space_group_name_H-M_alt 'P -1'
_space_group_IT_number 2
_cell_length_a 5.167
_cell_length_b 5.198
_cell_length_c 8.338
_cell_angle_alpha 71.93
_cell_angle_beta 72.01
_cell_angle_gamma 89.99
loop_
_space_group_symop_operation_xyz
'x,y,z'
'-x,-y,-z'
loop_
_atom_site_label
_atom_site_fract_x
_atom_site_fract_y
_atom_site_fract_z
Ce1 0.124 0.130 0.240
Ce2 0.363 0.370 0.760
H1 0.000 0.000 0.000
H2 0.000 0.500 0.000
H3 0.138 0.625 0.249
H4 0.251 0.251 0.498
H5 0.251 0.751 0.498
H6 0.387 0.875 0.751
Rh1 0.000 0.500 0.500
Rh2 0.289 0.751 0.000
Rh3 0.500 0.000 0.500
```



Repeat the first record exactly.
Pa2Fe3B12W: simulated X-ray diffraction stick pattern (λ = 1.5418 Å (Cu Kα)), based on DFT lattice parameters and positions (GGA-PBE).

Largest 12 diffraction maxima, by angle, 5 to 70 degrees two-theta:
2θ 11.5, I 83
2θ 23.1, I 34
2θ 24.4, I 19
2θ 27.1, I 25
2θ 33.1, I 53
2θ 35.1, I 100
2θ 36.5, I 18
2θ 40.7, I 27
2θ 47.4, I 21
2θ 50.1, I 17
2θ 60.4, I 22
2θ 69.3, I 25

Structure:
```
data_Pa2Fe3B12W
_space_group_name_H-M_alt 'R -3 m'
_space_group_IT_number 166
_space_group_name_Hall '-R 3 2"'
_cell_length_a 5.4172
_cell_length_b 5.4172
_cell_length_c 23.1452
_cell_angle_alpha 90.00
_cell_angle_beta 90.00
_cell_angle_gamma 120.00
loop_
_atom_site_label
_atom_site_fract_x
_atom_site_fract_y
_atom_site_fract_z
Pa1 0.0000 0.0000 0.1433
Fe1 0.0000 0.5000 0.0000
B1 0.0815 0.5408 0.0888
B2 0.1075 0.2151 0.7364
W1 0.0000 0.0000 0.5000
```